Entry 1:
# Sc3Co4
Calculated X-ray diffraction stick pattern, a wavelength of 1.5418 Å. Input: a DFT-relaxed cell (PBE, Alexandria).
Intensities are scaled so that the largest is 100.

Top 7 peaks for 5° ≤ 2θ ≤ 70°, sorted by position:
2theta	Rel. int.	hkl
15.37	1	1 1 0
18.87	1	1 0 1
28.99	2	2 1 1
41.46	100	3 -2 2
51.38	1	0 0 3
60.07	15	4 2 2
68.06	1	1 4 3

Atomic structure:
```
data_Sc3Co4
_chemical_formula_sum 'Sc18 Co24'
_symmetry_space_group_name_H-M 'R -3'
_symmetry_Int_Tables_number 148
_symmetry_space_group_name_Hall '-R 3'
_cell_length_a 11.5291
_cell_length_b 11.5291
_cell_length_c 5.3318
_cell_angle_alpha 90.00
_cell_angle_beta 90.00
_cell_angle_gamma 120.00
loop_
_atom_site_label
_atom_site_fract_x
_atom_site_fract_y
_atom_site_fract_z
_atom_site_occupancy
Sc1 0.0450 0.2332 0.1752 1
Co1 0.0000 0.0000 0.0000 1
Co2 0.0000 0.0000 0.5000 1
Co3 0.0460 0.2314 0.6631 1
```

=====

Entry 2:
# AlIrOs2
Calculated X-ray diffraction stick pattern, a wavelength of 1.5418 Å. Input: a DFT-relaxed cell (PBE, Alexandria).
Intensities are scaled so that the largest is 100.

Top 10 peaks for 5° ≤ 2θ ≤ 70°, sorted by position:
2theta	Rel. int.	hkl
17.42	19	0 0 2
21.70	16	1 0 0
27.96	22	1 0 2
35.26	13	0 0 4
40.47	100	1 1 1
41.78	69	1 0 4
42.28	45	0 1 3
44.22	34	2 0 0
56.19	13	0 1 5
62.84	29	2 1 3

Atomic structure:
```
data_AlIrOs2
_chemical_formula_sum 'Al2 Ir2 Os4'
_symmetry_space_group_name_H-M 'A m m 2'
_symmetry_Int_Tables_number 38
_cell_length_a 4.096
_cell_length_b 2.752
_cell_length_c 10.183
_cell_angle_alpha 90.00
_cell_angle_beta 90.00
_cell_angle_gamma 90.00
loop_
_symmetry_equiv_pos_as_xyz
'x,y,z'
'-x,-y,z'
'-x,y,z'
'x,-y,z'
'x,y+1/2,z+1/2'
'-x,-y+1/2,z+1/2'
'-x,y+1/2,z+1/2'
'x,-y+1/2,z+1/2'
loop_
_atom_site_label
_atom_site_fract_x
_atom_site_fract_y
_atom_site_fract_z
_atom_site_occupancy
Al1 0.000 0.000 0.000 1
Ir1 0.500 0.000 0.591 1
Os1 0.000 0.000 0.252 1
Os2 0.500 0.000 0.851 1
```